Entry 1:
Simulated powder XRD pattern of PuHgSO6 for copper Kα, from a DFT-relaxed cell (PBE, Alexandria).
Lines closer than 0.1° are merged.

Most intense lines, 10° ≤ 2θ ≤ 90°, low angle first:
d/Å, I (rel.), (hkl)
5.422, 922, 0 0 1
4.287, 1000, 1 1 0
4.183, 609, 1 1 1
3.882, 465, 1 0 -1
3.679, 480, 1 0 1
3.273, 388, -1 1 1
3.069, 327, 0 1 2
2.527, 367, 1 2 2

Cell and atoms:
```
data_PuHgSO6
_chemical_formula_sum 'Pu1 Hg1 S1 O6'
_symmetry_space_group_name_H-M 'P 1'
_symmetry_Int_Tables_number 1
_cell_length_a 5.5211
_cell_length_b 5.9343
_cell_length_c 6.1870
_cell_angle_alpha 61.35
_cell_angle_beta 84.39
_cell_angle_gamma 72.70
loop_
_symmetry_equiv_pos_as_xyz
'x,y,z'
loop_
_atom_site_label
_atom_site_type_symbol
_atom_site_fract_x
_atom_site_fract_y
_atom_site_fract_z
Pu1 Pu 0.0000 0.0000 0.0000
Hg1 Hg 0.5104 0.3950 0.2440
S1 S 0.0177 0.6358 0.7825
O1 O 0.1807 0.3400 0.9337
O2 O 0.1974 0.8079 0.7529
O3 O 0.2428 0.7188 0.2604
O4 O 0.7720 0.0673 0.2572
O5 O 0.7786 0.2629 0.7482
O6 O 0.8326 0.6933 0.9726
```


Entry 2:
Simulated powder XRD pattern of SrPu2HgO8 for copper Kα, from a DFT-relaxed cell (PBE, Alexandria).
Lines closer than 0.1° are merged.

Most intense lines, 10° ≤ 2θ ≤ 90°, low angle first:
d/Å, I (rel.), (hkl)
4.900, 135, 1 0 1
3.139, 1000, 1 1 2
2.772, 249, 2 0 0
1.960, 185, 2 2 0
1.904, 323, 2 0 4
1.663, 326, 3 1 2
1.595, 143, 1 1 6
1.237, 125, 1 3 6

Cell and atoms:
```
data_SrPu2HgO8
_chemical_formula_sum 'Sr2 Pu4 Hg2 O16'
_symmetry_space_group_name_H-M 'I -4'
_symmetry_Int_Tables_number 82
_cell_length_a 5.5438
_cell_length_b 5.5438
_cell_length_c 10.4803
_cell_angle_alpha 90.00
_cell_angle_beta 90.00
_cell_angle_gamma 90.00
loop_
_symmetry_equiv_pos_as_xyz
'x,y,z'
'y,-x,-z'
'-x,-y,z'
'-y,x,-z'
'x+1/2,y+1/2,z+1/2'
'y+1/2,-x+1/2,-z+1/2'
'-x+1/2,-y+1/2,z+1/2'
'-y+1/2,x+1/2,-z+1/2'
loop_
_atom_site_label
_atom_site_type_symbol
_atom_site_fract_x
_atom_site_fract_y
_atom_site_fract_z
Sr1 Sr 0.0000 0.0000 0.0000
Pu1 Pu 0.0000 0.0000 0.5000
Pu2 Pu 0.0000 0.5000 0.7500
Hg1 Hg 0.0000 0.5000 0.2500
O1 O 0.2003 0.7422 0.6159
O2 O 0.2246 0.2380 0.6365
```


Entry 3:
Simulated powder XRD pattern of PuTlHg2O6 for copper Kα, from a DFT-relaxed cell (PBE, Alexandria).
Lines closer than 0.1° are merged.

Most intense lines, 10° ≤ 2θ ≤ 90°, low angle first:
d/Å, I (rel.), (hkl)
3.118, 508, 0 1 1
3.105, 994, 1 0 -2
3.078, 1000, 1 1 -1
3.067, 496, -2 1 1
2.187, 387, 2 0 0
1.787, 224, 1 2 0
1.780, 440, 0 3 -1
1.775, 252, 3 0 -2

Cell and atoms:
```
data_PuTlHg2O6
_chemical_formula_sum 'Pu1 Tl1 Hg2 O6'
_symmetry_space_group_name_H-M 'P -1'
_symmetry_Int_Tables_number 2
_cell_length_a 6.1334
_cell_length_b 6.1525
_cell_length_c 6.2070
_cell_angle_alpha 90.05
_cell_angle_beta 119.53
_cell_angle_gamma 119.80
loop_
_symmetry_equiv_pos_as_xyz
'x,y,z'
'-x,-y,-z'
loop_
_atom_site_label
_atom_site_type_symbol
_atom_site_fract_x
_atom_site_fract_y
_atom_site_fract_z
Pu1 Pu 0.0000 0.0000 0.0000
Tl1 Tl 0.0000 0.5000 0.5000
Hg1 Hg 0.4613 0.2328 0.6924
O1 O 0.1239 0.9417 0.7679
O2 O 0.1736 0.8199 0.2324
O3 O 0.4129 0.3535 0.2342
```


Entry 4:
Simulated powder XRD pattern of Tm2PuHgO8 for copper Kα, from a DFT-relaxed cell (PBE, Alexandria).
Lines closer than 0.1° are merged.

Most intense lines, 10° ≤ 2θ ≤ 90°, low angle first:
d/Å, I (rel.), (hkl)
3.583, 493, 0 2 0
3.399, 428, 2 0 0
2.923, 1000, 1 1 2
2.466, 266, 2 2 0
1.914, 356, 1 3 2
1.856, 333, 3 1 2
1.497, 186, 3 3 2
1.462, 123, 2 2 4

Cell and atoms:
```
data_Tm2PuHgO8
_chemical_formula_sum 'Tm4 Pu2 Hg2 O16'
_symmetry_space_group_name_H-M 'C m m m'
_symmetry_Int_Tables_number 65
_symmetry_space_group_name_Hall '-C 2 2'
_cell_length_a 6.7974
_cell_length_b 7.1656
_cell_length_c 7.2585
_cell_angle_alpha 90.00
_cell_angle_beta 90.00
_cell_angle_gamma 90.00
loop_
_atom_site_label
_atom_site_type_symbol
_atom_site_fract_x
_atom_site_fract_y
_atom_site_fract_z
Tm1 Tm 0.0000 0.0000 0.2417
Pu1 Pu 0.0000 0.5000 0.5000
Hg1 Hg 0.0000 0.5000 0.0000
O1 O 0.0000 0.3075 0.3064
O2 O 0.1943 0.0000 0.0000
O3 O 0.2040 0.0000 0.5000
```


Entry 5:
Simulated powder XRD pattern of YPuHg2O6 for copper Kα, from a DFT-relaxed cell (PBE, Alexandria).
Lines closer than 0.1° are merged.

Most intense lines, 10° ≤ 2θ ≤ 90°, low angle first:
d/Å, I (rel.), (hkl)
3.056, 1000, 1 0 4
2.917, 812, 1 1 0
2.110, 416, 0 2 4
1.794, 220, 0 1 8
1.710, 395, 3 -1 4
1.684, 221, 3 0 0
1.353, 183, 1 2 8
1.316, 157, 1 3 4

Cell and atoms:
```
data_YPuHg2O6
_chemical_formula_sum 'Y3 Pu3 Hg6 O18'
_symmetry_space_group_name_H-M 'R -3'
_symmetry_Int_Tables_number 148
_symmetry_space_group_name_Hall '-R 3'
_cell_length_a 5.8333
_cell_length_b 5.8333
_cell_length_c 15.3513
_cell_angle_alpha 90.00
_cell_angle_beta 90.00
_cell_angle_gamma 120.00
loop_
_atom_site_label
_atom_site_type_symbol
_atom_site_fract_x
_atom_site_fract_y
_atom_site_fract_z
Y1 Y 0.0000 0.0000 0.0000
Pu1 Pu 0.0000 0.0000 0.5000
Hg1 Hg 0.0000 0.0000 0.2524
O1 O 0.0141 0.3895 0.2487
```


Entry 6:
Simulated powder XRD pattern of PuZrHgO6 for copper Kα, from a DFT-relaxed cell (PBE, Alexandria).
Lines closer than 0.1° are merged.

Most intense lines, 10° ≤ 2θ ≤ 90°, low angle first:
d/Å, I (rel.), (hkl)
4.369, 193, 1 0 1
3.440, 1000, 1 0 2
2.828, 515, 1 1 0
2.185, 286, 2 0 2
1.837, 421, 1 1 4
1.729, 287, 2 1 2
1.633, 162, 3 0 0
1.308, 118, 4 -1 2

Cell and atoms:
```
data_PuZrHgO6
_chemical_formula_sum 'Pu2 Zr2 Hg2 O12'
_symmetry_space_group_name_H-M 'P -3 1 c'
_symmetry_Int_Tables_number 163
_symmetry_space_group_name_Hall '-P 3 2c'
_cell_length_a 5.6559
_cell_length_b 5.6559
_cell_length_c 9.6658
_cell_angle_alpha 90.00
_cell_angle_beta 90.00
_cell_angle_gamma 120.00
loop_
_atom_site_label
_atom_site_type_symbol
_atom_site_fract_x
_atom_site_fract_y
_atom_site_fract_z
Pu1 Pu 0.3333 0.6667 0.2500
Zr1 Zr 0.3333 0.6667 0.7500
Hg1 Hg 0.0000 0.0000 0.0000
O1 O 0.0075 0.3668 0.1392
```


Entry 7:
Simulated powder XRD pattern of Rb3Hg2O4 for copper Kα, from a DFT-relaxed cell (PBE, Alexandria).
Lines closer than 0.1° are merged.

Most intense lines, 10° ≤ 2θ ≤ 90°, low angle first:
d/Å, I (rel.), (hkl)
7.068, 568, 0 0 2
4.362, 429, 1 0 1
3.534, 366, 0 0 4
3.461, 1000, 0 2 2
3.286, 248, 1 0 3
2.935, 722, 1 2 1
2.292, 360, 2 0 0
2.058, 320, 1 2 5

Cell and atoms:
```
data_Rb3Hg2O4
_chemical_formula_sum 'Rb6 Hg4 O8'
_symmetry_space_group_name_H-M 'I m m m'
_symmetry_Int_Tables_number 71
_symmetry_space_group_name_Hall '-I 2 2'
_cell_length_a 4.5858
_cell_length_b 7.9368
_cell_length_c 14.1366
_cell_angle_alpha 90.00
_cell_angle_beta 90.00
_cell_angle_gamma 90.00
loop_
_atom_site_label
_atom_site_type_symbol
_atom_site_fract_x
_atom_site_fract_y
_atom_site_fract_z
Rb1 Rb 0.0000 0.0000 0.0000
Rb2 Rb 0.0000 0.5000 0.2190
Hg1 Hg 0.0000 0.1992 0.5000
O1 O 0.0000 0.2225 0.3609
```


Entry 8:
Simulated powder XRD pattern of Rb5Hg2O5 for copper Kα, from a DFT-relaxed cell (PBE, Alexandria).
Lines closer than 0.1° are merged.

Most intense lines, 10° ≤ 2θ ≤ 90°, low angle first:
d/Å, I (rel.), (hkl)
6.473, 719, 2 0 0
3.145, 581, 1 1 -2
3.045, 433, 4 0 -2
2.972, 913, 1 1 2
2.907, 1000, 3 1 -1
2.836, 549, 2 0 3
2.705, 823, 3 1 -2
2.617, 552, 2 0 -4

Cell and atoms:
```
data_Rb5Hg2O5
_chemical_formula_sum 'Rb10 Hg4 O10'
_symmetry_space_group_name_H-M 'C 1 2/m 1'
_symmetry_Int_Tables_number 12
_cell_length_a 13.2254
_cell_length_b 3.9346
_cell_length_c 10.6837
_cell_angle_alpha 90.00
_cell_angle_beta 101.81
_cell_angle_gamma 90.00
loop_
_symmetry_equiv_pos_as_xyz
'x,y,z'
'-x,-y,-z'
'-x,y,-z'
'x,-y,z'
'x+1/2,y+1/2,z'
'-x+1/2,-y+1/2,-z'
'-x+1/2,y+1/2,-z'
'x+1/2,-y+1/2,z'
loop_
_atom_site_label
_atom_site_type_symbol
_atom_site_fract_x
_atom_site_fract_y
_atom_site_fract_z
Rb1 Rb 0.0000 0.0000 0.0000
Rb2 Rb 0.1437 0.0000 0.5413
Rb3 Rb 0.2337 0.5000 0.1436
Hg1 Hg 0.0110 0.5000 0.2818
O1 O 0.0000 0.5000 0.5000
O2 O 0.1159 0.0000 0.2797
O3 O 0.1174 0.5000 0.8810
```


Entry 9:
Simulated powder XRD pattern of Rb6Hg2O for copper Kα, from a DFT-relaxed cell (PBE, Alexandria).
Lines closer than 0.1° are merged.

Most intense lines, 10° ≤ 2θ ≤ 90°, low angle first:
d/Å, I (rel.), (hkl)
6.029, 127, 1 1 -1
4.263, 197, 1 1 1
3.481, 1000, 2 0 0
3.014, 553, 0 0 4
2.132, 392, 4 0 -4
1.818, 359, 4 2 -2
1.740, 131, 4 0 -8
1.384, 106, 2 4 -8

Cell and atoms:
```
data_Rb6Hg2O
_chemical_formula_sum 'Rb12 Hg4 O2'
_symmetry_space_group_name_H-M 'P 1 21/c 1'
_symmetry_Int_Tables_number 14
_cell_length_a 8.5167
_cell_length_b 8.5283
_cell_length_c 14.7589
_cell_angle_alpha 90.00
_cell_angle_beta 125.15
_cell_angle_gamma 90.00
loop_
_symmetry_equiv_pos_as_xyz
'x,y,z'
'-x,-y,-z'
'-x,y+1/2,-z+1/2'
'x,-y+1/2,z+1/2'
loop_
_atom_site_label
_atom_site_type_symbol
_atom_site_fract_x
_atom_site_fract_y
_atom_site_fract_z
Rb1 Rb 0.2275 0.0002 0.2288
Rb2 Rb 0.2272 0.2314 0.0003
Rb3 Rb 0.2319 0.7262 0.5005
Hg1 Hg 0.2508 0.5008 0.2493
O1 O 0.0000 0.0000 0.0000
```


Entry 10:
Simulated powder XRD pattern of Rb4HgO4 for copper Kα, from a DFT-relaxed cell (PBE, Alexandria).
Lines closer than 0.1° are merged.

Most intense lines, 10° ≤ 2θ ≤ 90°, low angle first:
d/Å, I (rel.), (hkl)
4.764, 253, 1 0 1
3.208, 1000, 2 1 1
2.849, 276, 0 0 2
2.745, 444, 1 3 0
1.977, 388, 1 3 2
1.706, 165, 2 1 3
1.661, 356, 5 0 1
1.604, 168, 4 2 2

Cell and atoms:
```
data_Rb4HgO4
_chemical_formula_sum 'Rb8 Hg2 O8'
_symmetry_space_group_name_H-M 'I 4/m'
_symmetry_Int_Tables_number 87
_symmetry_space_group_name_Hall '-I 4'
_cell_length_a 8.6802
_cell_length_b 8.6802
_cell_length_c 5.6990
_cell_angle_alpha 90.00
_cell_angle_beta 90.00
_cell_angle_gamma 90.00
loop_
_atom_site_label
_atom_site_type_symbol
_atom_site_fract_x
_atom_site_fract_y
_atom_site_fract_z
Rb1 Rb 0.1119 0.2995 0.0000
Hg1 Hg 0.0000 0.0000 0.5000
O1 O 0.0706 0.2279 0.5000
```


Entry 11:
Simulated powder XRD pattern of Rb8Hg6O for copper Kα, from a DFT-relaxed cell (PBE, Alexandria).
Lines closer than 0.1° are merged.

Most intense lines, 10° ≤ 2θ ≤ 90°, low angle first:
d/Å, I (rel.), (hkl)
4.670, 350, 0 2 1
4.320, 381, 2 0 2
3.573, 1000, 2 1 1
3.409, 231, 3 -2 2
3.287, 387, 0 0 6
2.925, 515, 2 1 4
2.672, 675, 3 -2 5
1.998, 249, 4 1 3

Cell and atoms:
```
data_Rb8Hg6O
_chemical_formula_sum 'Rb24 Hg18 O3'
_symmetry_space_group_name_H-M 'R -3'
_symmetry_Int_Tables_number 148
_symmetry_space_group_name_Hall '-R 3'
_cell_length_a 11.0994
_cell_length_b 11.0994
_cell_length_c 19.7222
_cell_angle_alpha 90.00
_cell_angle_beta 90.00
_cell_angle_gamma 120.00
loop_
_atom_site_label
_atom_site_type_symbol
_atom_site_fract_x
_atom_site_fract_y
_atom_site_fract_z
Rb1 Rb 0.0000 0.0000 0.1117
Rb2 Rb 0.0069 0.7976 0.4180
Hg1 Hg 0.0495 0.4686 0.4331
O1 O 0.0000 0.0000 0.5000
```


Entry 12:
Simulated powder XRD pattern of RbHg3O3 for copper Kα, from a DFT-relaxed cell (PBE, Alexandria).
Lines closer than 0.1° are merged.

Most intense lines, 10° ≤ 2θ ≤ 90°, low angle first:
d/Å, I (rel.), (hkl)
7.708, 434, 0 0 3
3.379, 152, 1 1 0
3.095, 1000, 1 1 3
2.569, 266, 0 0 9
2.541, 698, 2 -1 6
1.951, 272, 3 0 0
1.674, 157, 1 1 12
1.554, 245, 0 3 9

Cell and atoms:
```
data_RbHg3O3
_chemical_formula_sum 'Rb6 Hg18 O18'
_symmetry_space_group_name_H-M 'R -3'
_symmetry_Int_Tables_number 148
_symmetry_space_group_name_Hall '-R 3'
_cell_length_a 6.7585
_cell_length_b 6.7585
_cell_length_c 23.1231
_cell_angle_alpha 90.00
_cell_angle_beta 90.00
_cell_angle_gamma 120.00
loop_
_atom_site_label
_atom_site_type_symbol
_atom_site_fract_x
_atom_site_fract_y
_atom_site_fract_z
Rb1 Rb 0.0000 0.0000 0.1696
Hg1 Hg 0.0110 0.7108 0.6138
O1 O 0.0088 0.6469 0.4026
```